Structure and theoretical X-ray diffraction stick pattern of CsMnGaF6 (a structure optimized by DFT (PBE+U); Cu Ka).
Neutral-atom scattering factors, no anomalous dispersion.

Peak list (10 most intense, 10° ≤ 2θ ≤ 90°, in order of rising 2θ)
hkl 0 2 0, d 3.784, 23.51 deg, rel. 18; hkl 1 1 2, d 3.769, 23.61 deg, rel. 33; hkl 2 1 1, d 3.222, 27.69 deg, rel. 100; hkl 0 1 3, d 3.207, 27.82 deg, rel. 49; hkl 0 2 2, d 3.081, 28.99 deg, rel. 29; hkl 0 3 3, d 2.057, 44.03 deg, rel. 29; hkl 3 0 3, d 2.051, 44.16 deg, rel. 10; hkl 4 0 0, d 1.885, 48.28 deg, rel. 48; hkl 0 3 5, d 1.626, 56.59 deg, rel. 13; hkl 4 3 3, d 1.390, 67.35 deg, rel. 16

Crystal structure
Unit cell a=7.548 b=7.576 c=10.624 alpha=90.00 beta=90.00 gamma=90.00
Space group Imma (No. 74)
Unique sites:
Cs: 0.000 0.250 0.123 [4 per cell]
Mn: 0.000 0.000 0.500 [4 per cell]
Ga: 0.250 0.250 0.750 [4 per cell]
F: 0.000 0.250 0.415 [4 per cell]
F: 0.000 0.250 0.800 [4 per cell]
F: 0.212 0.071 0.627 [16 per cell]



Structure and theoretical X-ray diffraction stick pattern of CsGaNiF6 (a structure optimized by DFT (PBE+U); Cu Ka).
Neutral-atom scattering factors, no anomalous dispersion.

Peak list (10 most intense, 10° ≤ 2θ ≤ 90°, in order of rising 2θ)
hkl 1 1 1, d 3.769, 23.60 deg, rel. 100; hkl 0 0 2, d 3.270, 27.27 deg, rel. 11; hkl 2 0 0, d 2.666, 33.62 deg, rel. 11; hkl 1 3 0, d 2.662, 33.67 deg, rel. 14; hkl 2 2 1, d 2.174, 41.54 deg, rel. 10; hkl 2 0 -2, d 2.067, 43.79 deg, rel. 17; hkl 1 3 2, d 2.063, 43.88 deg, rel. 23; hkl 0 2 3, d 1.971, 46.05 deg, rel. 12; hkl 1 5 1, d 1.684, 54.49 deg, rel. 15; hkl 3 3 0, d 1.538, 60.16 deg, rel. 8

Crystal structure
Unit cell a=5.330 b=9.219 c=6.540 alpha=90.00 beta=90.15 gamma=90.00
Space group C2 (No. 5)
Unique sites:
Cs: 0.000 0.000 0.000 [2 per cell]
Ga: 0.000 0.333 0.500 [2 per cell]
Ni: 0.000 0.667 0.500 [2 per cell]
F: 0.118 0.493 0.667 [4 per cell]
F: 0.181 0.195 0.667 [4 per cell]
F: 0.203 0.812 0.667 [4 per cell]